(1)
The following is a calculated powder X-ray diffraction pattern of BaLa2Pb. It was derived from a cell relaxed with GGA-PBE, using Cu Kα, 1.54184 Å.

Crystal structure
```
data_BaLa2Pb
_chemical_formula_sum 'Ba1 La2 Pb1'
_symmetry_space_group_name_H-M 'P 1'
_symmetry_Int_Tables_number 1
_cell_length_a 7.058
_cell_length_b 7.058
_cell_length_c 7.058
_cell_angle_alpha 143.21
_cell_angle_beta 131.14
_cell_angle_gamma 62.69
loop_
_symmetry_equiv_pos_as_xyz
'x,y,z'
loop_
_atom_site_label
_atom_site_type_symbol
_atom_site_fract_x
_atom_site_fract_y
_atom_site_fract_z
Ba1 Ba 0.000 0.000 0.000
La1 La 0.291 0.791 0.500
La2 La 0.709 0.209 0.500
Pb1 Pb 0.500 0.500 0.000
```

Principal peaks in the range 15° ≤ 2θ ≤ 90°, in order of rising 2θ:
d 5.254, 2θ 16.9, intensity 11; d 3.054, 2θ 29.2, intensity 100; d 3.014, 2θ 29.6, intensity 17; d 2.919, 2θ 30.6, intensity 25; d 2.228, 2θ 40.5, intensity 19; d 2.097, 2θ 43.1, intensity 12; d 1.771, 2θ 51.6, intensity 12; d 1.710, 2θ 53.6, intensity 19

=====

(2)
The following is a calculated powder X-ray diffraction pattern of Tb2PmTm4. It was derived from a cell relaxed with GGA-PBE, using Cu Kα, 1.54184 Å.

Crystal structure
```
data_Tb2PmTm4
_chemical_formula_sum 'Tb2 Pm1 Tm4'
_symmetry_space_group_name_H-M 'P 1'
_symmetry_Int_Tables_number 1
_cell_length_a 8.446
_cell_length_b 8.446
_cell_length_c 8.653
_cell_angle_alpha 118.41
_cell_angle_beta 118.41
_cell_angle_gamma 23.95
loop_
_symmetry_equiv_pos_as_xyz
'x,y,z'
loop_
_atom_site_label
_atom_site_type_symbol
_atom_site_fract_x
_atom_site_fract_y
_atom_site_fract_z
Tb1 Tb 0.205 0.205 0.293
Tb2 Tb 0.795 0.795 0.707
Pm1 Pm 0.500 0.500 0.000
Tm1 Tm 0.140 0.140 0.831
Tm2 Tm 0.429 0.429 0.568
Tm3 Tm 0.571 0.571 0.432
Tm4 Tm 0.860 0.860 0.169
```

Principal peaks in the range 15° ≤ 2θ ≤ 90°, in order of rising 2θ:
d 2.944, 2θ 30.4, intensity 37; d 2.832, 2θ 31.6, intensity 100; d 2.803, 2θ 31.9, intensity 48; d 2.705, 2θ 33.1, intensity 46; d 2.688, 2θ 33.3, intensity 46; d 1.867, 2θ 48.8, intensity 20; d 1.490, 2θ 62.3, intensity 15; d 1.471, 2θ 63.2, intensity 15

=====

(3)
The following is a calculated powder X-ray diffraction pattern of AcDy2Mg6. It was derived from a cell relaxed with GGA-PBE, using Cu Kα, 1.54184 Å.

Crystal structure
```
data_AcDy2Mg6
_chemical_formula_sum 'Ac1 Dy2 Mg6'
_symmetry_space_group_name_H-M 'P 1'
_symmetry_Int_Tables_number 1
_cell_length_a 9.165
_cell_length_b 9.165
_cell_length_c 3.449
_cell_angle_alpha 90.00
_cell_angle_beta 90.00
_cell_angle_gamma 120.00
loop_
_symmetry_equiv_pos_as_xyz
'x,y,z'
loop_
_atom_site_label
_atom_site_type_symbol
_atom_site_fract_x
_atom_site_fract_y
_atom_site_fract_z
Ac1 Ac 0.000 0.000 0.000
Dy1 Dy 0.333 0.667 0.000
Dy2 Dy 0.667 0.333 0.000
Mg1 Mg 0.000 0.341 0.500
Mg2 Mg 0.000 0.659 0.500
Mg3 Mg 0.341 0.000 0.500
Mg4 Mg 0.341 0.341 0.500
Mg5 Mg 0.659 0.000 0.500
Mg6 Mg 0.659 0.659 0.500
```

Principal peaks in the range 15° ≤ 2θ ≤ 90°, in order of rising 2θ:
d 4.582, 2θ 19.4, intensity 99; d 2.756, 2θ 32.5, intensity 100; d 2.646, 2θ 33.9, intensity 57; d 2.291, 2θ 39.3, intensity 17; d 2.099, 2θ 43.1, intensity 18; d 1.908, 2θ 47.7, intensity 35; d 1.548, 2θ 59.7, intensity 35; d 1.445, 2θ 64.5, intensity 18

=====

(4)
The following is a calculated powder X-ray diffraction pattern of Ag2SnTeS4. It was derived from a cell relaxed with GGA-PBE, using Cu Kα, 1.54184 Å.

Crystal structure
```
data_Ag2SnTeS4
_chemical_formula_sum 'Ag4 Sn2 Te2 S8'
_symmetry_space_group_name_H-M 'P 1'
_symmetry_Int_Tables_number 1
_cell_length_a 7.787
_cell_length_b 7.787
_cell_length_c 7.744
_cell_angle_alpha 118.94
_cell_angle_beta 118.94
_cell_angle_gamma 88.59
loop_
_symmetry_equiv_pos_as_xyz
'x,y,z'
loop_
_atom_site_label
_atom_site_type_symbol
_atom_site_fract_x
_atom_site_fract_y
_atom_site_fract_z
Ag1 Ag 0.000 0.000 0.000
Ag2 Ag 0.000 0.000 0.500
Ag3 Ag 0.000 0.500 0.000
Ag4 Ag 0.500 0.000 0.500
Sn1 Sn 0.500 0.500 0.000
Sn2 Sn 0.500 0.500 0.500
Te1 Te 0.000 0.500 0.500
Te2 Te 0.500 0.000 0.000
S1 S 0.209 0.720 0.453
S2 S 0.252 0.259 0.514
S3 S 0.259 0.252 0.014
S4 S 0.280 0.791 0.047
S5 S 0.720 0.209 0.953
S6 S 0.741 0.748 0.986
S7 S 0.748 0.741 0.486
S8 S 0.791 0.280 0.547
```

Principal peaks in the range 15° ≤ 2θ ≤ 90°, in order of rising 2θ:
d 3.278, 2θ 27.2, intensity 95; d 3.154, 2θ 28.3, intensity 84; d 2.853, 2θ 31.4, intensity 100; d 2.782, 2θ 32.2, intensity 96; d 2.719, 2θ 32.9, intensity 91; d 2.054, 2θ 44.1, intensity 36; d 1.968, 2θ 46.1, intensity 66; d 1.945, 2θ 46.7, intensity 66

=====

(5)
The following is a calculated powder X-ray diffraction pattern of AlOsRuBr2. It was derived from a cell relaxed with GGA-PBE, using Cu Kα, 1.54184 Å.

Crystal structure
```
data_AlOsRuBr2
_chemical_formula_sum 'Al1 Os1 Ru1 Br2'
_symmetry_space_group_name_H-M 'P 1'
_symmetry_Int_Tables_number 1
_cell_length_a 4.984
_cell_length_b 4.984
_cell_length_c 4.883
_cell_angle_alpha 90.00
_cell_angle_beta 90.00
_cell_angle_gamma 90.00
loop_
_symmetry_equiv_pos_as_xyz
'x,y,z'
loop_
_atom_site_label
_atom_site_type_symbol
_atom_site_fract_x
_atom_site_fract_y
_atom_site_fract_z
Al1 Al 0.000 0.000 0.000
Os1 Os 0.500 0.500 0.000
Ru1 Ru 0.000 0.000 0.500
Br1 Br 0.000 0.500 0.500
Br2 Br 0.500 0.000 0.500
```

Principal peaks in the range 15° ≤ 2θ ≤ 90°, in order of rising 2θ:
d 3.488, 2θ 25.5, intensity 100; d 2.858, 2θ 31.3, intensity 65; d 2.492, 2θ 36.0, intensity 69; d 2.442, 2θ 36.8, intensity 32; d 2.028, 2θ 44.7, intensity 45; d 1.762, 2θ 51.9, intensity 24; d 1.744, 2θ 52.5, intensity 46; d 1.429, 2θ 65.3, intensity 24

=====

(6)
The following is a calculated powder X-ray diffraction pattern of Ac8Tl3. It was derived from a cell relaxed with GGA-PBE, using Cu Kα, 1.54184 Å.

Crystal structure
```
data_Ac8Tl3
_chemical_formula_sum 'Ac8 Tl3'
_symmetry_space_group_name_H-M 'P 1'
_symmetry_Int_Tables_number 1
_cell_length_a 7.867
_cell_length_b 7.867
_cell_length_c 7.867
_cell_angle_alpha 88.63
_cell_angle_beta 88.63
_cell_angle_gamma 88.63
loop_
_symmetry_equiv_pos_as_xyz
'x,y,z'
loop_
_atom_site_label
_atom_site_type_symbol
_atom_site_fract_x
_atom_site_fract_y
_atom_site_fract_z
Ac1 Ac 0.231 0.757 0.757
Ac2 Ac 0.243 0.243 0.769
Ac3 Ac 0.243 0.769 0.243
Ac4 Ac 0.249 0.249 0.249
Ac5 Ac 0.751 0.751 0.751
Ac6 Ac 0.757 0.231 0.757
Ac7 Ac 0.757 0.757 0.231
Ac8 Ac 0.769 0.243 0.243
Tl1 Tl 0.000 0.500 0.500
Tl2 Tl 0.500 0.000 0.500
Tl3 Tl 0.500 0.500 0.000
```

Principal peaks in the range 15° ≤ 2θ ≤ 90°, in order of rising 2θ:
d 4.505, 2θ 19.7, intensity 22; d 3.931, 2θ 22.6, intensity 56; d 2.813, 2θ 31.8, intensity 100; d 2.748, 2θ 32.6, intensity 92; d 1.966, 2θ 46.2, intensity 35; d 1.637, 2θ 56.2, intensity 21; d 1.599, 2θ 57.7, intensity 35; d 1.587, 2θ 58.1, intensity 17